1.
Diffraction record for Cs3ThU2O9. The X-ray diffraction stick pattern is theoretical, not measured: it uses the GGA-PBE geometry in Alexandria and Cu Kα X-rays.
Peak positions follow from Bragg's law for the DFT cell and can differ from measured ones.

Atomic structure:
```
Cs3ThU2O9
1.0
6.3107 0.0000 0.0000
-3.1554 5.4652 0.0000
0.0000 0.0000 7.7279
Cs Th U O
3 1 2 9
direct
0.0000 0.0000 0.0000 Cs
0.3333 0.6667 0.6663 Cs
0.6667 0.3333 0.3337 Cs
0.0000 0.0000 0.5000 Th
0.3333 0.6667 0.1627 U
0.6667 0.3333 0.8373 U
0.0000 0.5000 0.0000 O
0.1755 0.3511 0.3217 O
0.1755 0.8245 0.3217 O
0.3511 0.1755 0.6783 O
0.5000 0.0000 0.0000 O
0.5000 0.5000 0.0000 O
0.6489 0.8245 0.3217 O
0.8245 0.1755 0.6783 O
0.8245 0.6489 0.6783 O
```

Main lines, in order of rising 2θ (2θ from 10° to 90°):
2θ = 28.28°, d 3.155, rel. 100
2θ = 40.43°, d 2.231, rel. 27
2θ = 50.07°, d 1.822, rel. 43
2θ = 58.51°, d 1.578, rel. 18
2θ = 66.23°, d 1.411, rel. 19
2θ = 80.55°, d 1.193, rel. 23



2.
Diffraction record for NpNiGe2Ir. The X-ray diffraction stick pattern is theoretical, not measured: it uses the GGA-PBE geometry in Alexandria and Cu Kα X-rays.
Peak positions follow from Bragg's law for the DFT cell and can differ from measured ones.

Atomic structure:
```
NpNiGe2Ir
1.0
-2.0182 2.0182 5.2784
2.0182 -2.0182 5.2784
2.0182 2.0182 -5.2784
Np Ni Ge Ir
1 1 2 1
direct
0.0000 0.0000 0.0000 Np
0.2500 0.7500 0.5000 Ni
0.3801 0.3801 0.0000 Ge
0.6199 0.6199 0.0000 Ge
0.7500 0.2500 0.5000 Ir
```

Main lines, in order of rising 2θ (2θ from 10° to 90°):
2θ = 23.60°, d 3.770, rel. 34
2θ = 33.79°, d 2.652, rel. 58
2θ = 35.76°, d 2.511, rel. 100
2θ = 44.91°, d 2.018, rel. 44
2θ = 48.67°, d 1.871, rel. 24
2θ = 57.37°, d 1.606, rel. 26